This entry pairs a crystal structure of MgCr4Se with its calculated PXRD pattern. Radiation: λ = 1.5418 Å (Cu Kα). Structure: a cell relaxed with PBE.
Neutral-atom scattering factors, no anomalous dispersion.

Cell lengths 6.948, 6.948, 6.948 Å; angles 90.00, 90.00, 90.00 degrees
Space group F-43m (No. 216)
Symmetry-distinct sites (fractional):
Mg 0.000 0.000 0.000
Cr 0.126 0.126 0.626
Se 0.250 0.250 0.250

Principal peaks in the range 2θ = 10–80°, by angle:
- (1 1 1), 2θ = 22.16°, I = 14
- (2 0 0), 2θ = 25.64°, I = 10
- (2 2 0), 2θ = 36.58°, I = 26
- (3 1 1), 2θ = 43.18°, I = 100
- (2 2 2), 2θ = 45.21°, I = 41
- (4 0 0), 2θ = 52.69°, I = 4
- (3 3 1), 2θ = 57.84°, I = 3
- (4 2 2), 2θ = 65.85°, I = 9
- (5 1 1), 2θ = 70.41°, I = 28
- (4 4 0), 2θ = 77.75°, I = 23

This entry pairs a crystal structure of La2SmAg2 with its calculated PXRD pattern. Radiation: λ = 1.5418 Å (Cu Kα). Structure: a cell relaxed with PBE.
Neutral-atom scattering factors, no anomalous dispersion.

Cell lengths 3.780, 5.451, 14.125 Å; angles 90.00, 97.69, 90.00 degrees
Space group P2_1/m (No. 11)
Symmetry-distinct sites (fractional):
La 0.046 0.250 0.094
La 0.235 0.250 0.468
Sm 0.145 0.750 0.291
Ag 0.359 0.750 0.719
Ag 0.449 0.250 0.895

Principal peaks in the range 2θ = 10–80°, by angle:
- (0 0 5), 2θ = 31.97°, I = 22
- (0 2 0), 2θ = 32.86°, I = 27
- (1 1 2), 2θ = 32.98°, I = 100
- (0 2 5), 2θ = 46.50°, I = 15
- (2 0 -1), 2θ = 48.14°, I = 9
- (1 1 7), 2θ = 57.62°, I = 11
- (1 3 2), 2θ = 58.74°, I = 19
- (2 0 4), 2θ = 58.96°, I = 7
- (2 2 -1), 2θ = 59.52°, I = 10
- (2 2 4), 2θ = 69.17°, I = 9

This entry pairs a crystal structure of PuZnO4 with its calculated PXRD pattern. Radiation: λ = 1.5418 Å (Cu Kα). Structure: a cell relaxed with PBE.
Neutral-atom scattering factors, no anomalous dispersion.

Cell lengths 5.113, 4.987, 6.163 Å; angles 90.00, 90.00, 90.00 degrees
Space group Pnc2 (No. 30)
Symmetry-distinct sites (fractional):
Pu 0.000 0.000 0.000
Zn 0.500 0.000 0.670
O 0.184 0.225 0.738
O 0.299 0.725 0.486

Principal peaks in the range 2θ = 10–80°, by angle:
- (1 0 0), 2θ = 17.35°, I = 26
- (0 1 1), 2θ = 22.94°, I = 48
- (1 1 1), 2θ = 28.91°, I = 100
- (1 0 2), 2θ = 33.97°, I = 25
- (2 1 1), 2θ = 42.35°, I = 18
- (0 1 3), 2θ = 47.89°, I = 15
- (1 2 2), 2θ = 50.35°, I = 23
- (2 2 0), 2θ = 51.18°, I = 15
- (3 1 1), 2θ = 59.23°, I = 13
- (2 1 3), 2θ = 60.75°, I = 13

This entry pairs a crystal structure of SmCd12Hg7 with its calculated PXRD pattern. Radiation: λ = 1.5418 Å (Cu Kα). Structure: a cell relaxed with PBE.
Neutral-atom scattering factors, no anomalous dispersion.

Cell lengths 12.0532, 12.0532, 11.5420 Å; angles 90.00, 90.00, 120.00 degrees
Space group R-3m (No. 166, hexagonal axes)
Symmetry-distinct sites (fractional):
Sm 0.0000 0.0000 0.0000
Cd 0.0000 0.2742 0.0000
Cd 0.0424 0.5212 0.1260
Hg 0.0000 0.0000 0.5000
Hg 0.0880 0.1759 0.7713

Principal peaks in the range 2θ = 10–80°, by angle:
- (1 3 1), 2θ = 31.87°, I = 21
- (1 0 4), 2θ = 32.19°, I = 36
- (0 3 3), 2θ = 34.71°, I = 100
- (4 0 1), 2θ = 35.26°, I = 47
- (0 4 2), 2θ = 37.86°, I = 23
- (3 0 6), 2θ = 54.51°, I = 16
- (4 4 0), 2θ = 61.55°, I = 13
- (4 3 4), 2θ = 63.02°, I = 18
- (0 7 2), 2θ = 64.55°, I = 13
- (3 4 5), 2θ = 68.08°, I = 9